Starting from a structure optimized by DFT (PBE), the powder X-ray diffraction pattern of Ca3Si4Bi2O14 was computed for Cu Ka.

The 8 most intense peaks (10 to 90 degrees two-theta), by intensity:
| d/Å | I (rel.) |
| --- | --- |
| 7.427 | 100 |
| 2.949 | 74 |
| 7.134 | 68 |
| 2.998 | 68 |
| 2.417 | 47 |
| 3.249 | 41 |
| 3.378 | 38 |
| 6.489 | 38 |

```
Ca3Si4Bi2O14
1.0
9.014 -4.066 0.000
9.014 4.066 0.000
-6.103 0.000 8.876
Ca Si Bi O
6 8 4 28
direct
0.158 0.842 0.750
0.247 0.340 0.535
0.340 0.247 0.035
0.660 0.753 0.965
0.753 0.660 0.465
0.842 0.158 0.250
0.008 0.250 0.639
0.030 0.588 0.831
0.250 0.008 0.139
0.412 0.970 0.669
0.588 0.030 0.331
0.750 0.992 0.861
0.970 0.412 0.169
0.992 0.750 0.361
0.271 0.729 0.250
0.500 0.500 0.000
0.500 0.500 0.500
0.729 0.271 0.750
0.011 0.418 0.803
0.015 0.103 0.672
0.023 0.583 0.676
0.103 0.015 0.172
0.153 0.209 0.103
0.167 0.655 0.499
0.209 0.153 0.603
0.217 0.556 0.977
0.345 0.833 0.001
0.397 0.443 0.246
0.417 0.977 0.824
0.418 0.011 0.303
0.443 0.397 0.746
0.444 0.783 0.523
0.556 0.217 0.477
0.557 0.603 0.254
0.582 0.989 0.697
0.583 0.023 0.176
0.603 0.557 0.754
0.655 0.167 0.999
0.783 0.444 0.023
0.791 0.847 0.397
0.833 0.345 0.501
0.847 0.791 0.897
0.897 0.985 0.828
0.977 0.417 0.324
0.985 0.897 0.328
0.989 0.582 0.197
```